Record 1
Theoretical powder XRD pattern
Compound: Ho2SiAu3
Radiation: Cu Kα
Structure: a structure optimized by DFT (GGA-PBE)

Crystal structure
abc: 3.481 4.464 8.044
angles: 90.00 90.00 90.00
Sites, in units of the cell vectors:
1 Ho 0.000 0.000 0.000
2 Ho 0.000 0.500 0.490
3 Si 0.500 0.500 0.823
4 Au 0.500 0.000 0.337
5 Au 0.500 0.000 0.680
6 Au 0.500 0.500 0.137

Principal peaks in the range 10° ≤ 2θ ≤ 80°, in order of rising 2θ:
two_theta, I (rel.)
11.0, 13
34.1, 44
34.5, 100
39.2, 67
39.8, 12
40.4, 33
52.6, 31
53.9, 25
67.5, 36
68.3, 28
69.7, 13
72.7, 11

Record 2
Theoretical powder XRD pattern
Compound: Nd4Ag2Se7
Radiation: Cu Kα
Structure: a structure optimized by DFT (GGA-PBE)

Crystal structure
abc: 7.479 12.729 7.894
angles: 90.00 109.79 90.00
Sites, in units of the cell vectors:
1 Nd 0.000 0.053 0.000
2 Nd 0.000 0.947 0.500
3 Nd 0.443 0.140 0.788
4 Nd 0.443 0.860 0.288
5 Nd 0.653 0.222 0.332
6 Nd 0.653 0.778 0.832
7 Nd 0.944 0.369 0.791
8 Nd 0.944 0.631 0.291
9 Ag 0.165 0.299 0.301
10 Ag 0.165 0.701 0.801
11 Ag 0.565 0.468 0.165
12 Ag 0.565 0.532 0.665
13 Se 0.019 0.165 0.653
14 Se 0.019 0.835 0.153
15 Se 0.281 0.072 0.370
16 Se 0.281 0.928 0.870
17 Se 0.332 0.310 0.032
18 Se 0.332 0.690 0.532
19 Se 0.509 0.332 0.588
20 Se 0.509 0.668 0.088
21 Se 0.685 0.018 0.173
22 Se 0.685 0.982 0.673
23 Se 0.805 0.248 0.026
24 Se 0.805 0.752 0.526
25 Se 0.906 0.419 0.408
26 Se 0.906 0.581 0.908

Principal peaks in the range 10° ≤ 2θ ≤ 80°, in order of rising 2θ:
two_theta, I (rel.)
24.0, 54
24.5, 34
25.0, 28
31.3, 39
31.6, 100
31.8, 47
32.1, 25
32.4, 72
37.0, 37
37.3, 74
37.6, 30
38.2, 42

Record 3
Theoretical powder XRD pattern
Compound: LiNdCo
Radiation: Cu Kα
Structure: a structure optimized by DFT (GGA-PBE)

Crystal structure
abc: 3.953 3.926 8.899
angles: 90.00 102.73 90.00
Sites, in units of the cell vectors:
1 Li 0.205 0.250 0.412
2 Li 0.795 0.750 0.588
3 Nd 0.408 0.250 0.814
4 Nd 0.592 0.750 0.186
5 Co 0.032 0.250 0.064
6 Co 0.968 0.750 0.936

Principal peaks in the range 10° ≤ 2θ ≤ 80°, in order of rising 2θ:
two_theta, I (rel.)
10.2, 100
23.1, 9
24.9, 24
27.3, 10
32.6, 21
34.4, 31
35.8, 51
38.7, 9
45.9, 9
46.3, 9
47.9, 15
58.9, 13

Record 4
Theoretical powder XRD pattern
Compound: Pm2ScPd
Radiation: Cu Kα
Structure: a structure optimized by DFT (GGA-PBE)

Crystal structure
abc: 5.275 5.275 3.674
angles: 90.00 90.00 90.00
Sites, in units of the cell vectors:
1 Pm 0.000 0.500 0.000
2 Pm 0.500 0.000 0.000
3 Sc 0.000 0.000 0.500
4 Pd 0.500 0.500 0.500

Principal peaks in the range 10° ≤ 2θ ≤ 80°, in order of rising 2θ:
two_theta, I (rel.)
16.8, 6
23.9, 12
24.2, 6
34.0, 51
34.3, 100
42.2, 6
48.8, 18
49.6, 9
61.0, 37
61.5, 18
71.5, 6
72.2, 11

Record 5
Theoretical powder XRD pattern
Compound: ErNpMn4
Radiation: Cu Kα
Structure: a structure optimized by DFT (GGA-PBE)

Crystal structure
abc: 5.099 5.099 5.099
angles: 60.00 60.00 60.00
Sites, in units of the cell vectors:
1 Er 0.000 0.000 0.000
2 Np 0.250 0.250 0.250
3 Mn 0.128 0.624 0.624
4 Mn 0.624 0.128 0.624
5 Mn 0.624 0.624 0.128
6 Mn 0.624 0.624 0.624

Principal peaks in the range 10° ≤ 2θ ≤ 80°, in order of rising 2θ:
two_theta, I (rel.)
21.3, 34
24.7, 2
35.2, 80
41.5, 100
43.5, 10
50.6, 3
55.6, 9
57.1, 1
63.2, 30
67.5, 31
74.4, 21
78.5, 7

Record 6
Theoretical powder XRD pattern
Compound: Y4PSe2N
Radiation: Cu Kα
Structure: a structure optimized by DFT (GGA-PBE)

Crystal structure
abc: 6.718 3.867 6.975
angles: 90.00 108.62 90.00
Sites, in units of the cell vectors:
1 Y 0.219 0.000 0.207
2 Y 0.239 0.500 0.785
3 Y 0.761 0.500 0.215
4 Y 0.781 0.000 0.793
5 P 0.500 0.000 0.000
6 Se 0.000 0.000 0.500
7 Se 0.500 0.500 0.500
8 N 0.000 0.500 0.000

Principal peaks in the range 10° ≤ 2θ ≤ 80°, in order of rising 2θ:
two_theta, I (rel.)
27.0, 13
28.1, 11
32.2, 100
35.0, 18
41.0, 7
45.5, 30
46.9, 22
47.0, 12
58.1, 12
64.1, 8
67.4, 15
77.7, 9

Record 7
Theoretical powder XRD pattern
Compound: Tb3NdTm12
Radiation: Cu Kα
Structure: a structure optimized by DFT (GGA-PBE)

Crystal structure
abc: 4.966 4.966 19.881
angles: 90.00 90.00 90.00
Sites, in units of the cell vectors:
1 Tb 0.000 0.000 0.000
2 Tb 0.000 0.000 0.249
3 Tb 0.000 0.000 0.751
4 Nd 0.000 0.000 0.500
5 Tm 0.000 0.500 0.125
6 Tm 0.000 0.500 0.373
7 Tm 0.000 0.500 0.627
8 Tm 0.000 0.500 0.875
9 Tm 0.500 0.000 0.125
10 Tm 0.500 0.000 0.373
11 Tm 0.500 0.000 0.627
12 Tm 0.500 0.000 0.875
13 Tm 0.500 0.500 0.000
14 Tm 0.500 0.500 0.249
15 Tm 0.500 0.500 0.500
16 Tm 0.500 0.500 0.751

Principal peaks in the range 10° ≤ 2θ ≤ 80°, in order of rising 2θ:
two_theta, I (rel.)
31.2, 100
36.2, 51
52.1, 36
62.0, 43
65.0, 12
76.7, 6

Record 8
Theoretical powder XRD pattern
Compound: Ti3P
Radiation: Cu Kα
Structure: a structure optimized by DFT (GGA-PBE)

Crystal structure
abc: 9.948 9.948 4.976
angles: 90.00 90.00 90.00
Sites, in units of the cell vectors:
1 Ti 0.034 0.931 0.240
2 Ti 0.069 0.534 0.740
3 Ti 0.111 0.278 0.031
4 Ti 0.143 0.833 0.715
5 Ti 0.167 0.643 0.215
6 Ti 0.222 0.111 0.469
7 Ti 0.278 0.389 0.469
8 Ti 0.333 0.857 0.215
9 Ti 0.357 0.667 0.715
10 Ti 0.389 0.222 0.031
11 Ti 0.431 0.966 0.740
12 Ti 0.466 0.569 0.240
13 Ti 0.534 0.431 0.760
14 Ti 0.569 0.034 0.260
15 Ti 0.611 0.778 0.969
16 Ti 0.643 0.333 0.285
17 Ti 0.667 0.143 0.785
18 Ti 0.722 0.611 0.531
19 Ti 0.778 0.889 0.531
20 Ti 0.833 0.357 0.785
21 Ti 0.857 0.167 0.285
22 Ti 0.889 0.722 0.969
23 Ti 0.931 0.466 0.260
24 Ti 0.966 0.069 0.760
25 P 0.043 0.291 0.536
26 P 0.209 0.043 0.964
27 P 0.291 0.457 0.964
28 P 0.457 0.209 0.536
29 P 0.543 0.791 0.464
30 P 0.709 0.543 0.036
31 P 0.791 0.957 0.036
32 P 0.957 0.709 0.464

Principal peaks in the range 10° ≤ 2θ ≤ 80°, in order of rising 2θ:
two_theta, I (rel.)
33.7, 22
37.3, 95
38.4, 100
40.6, 75
41.6, 85
44.6, 43
46.5, 57
65.7, 17
66.4, 20
70.9, 16
78.0, 16
79.4, 16

Record 9
Theoretical powder XRD pattern
Compound: PmPr5Sm2Th
Radiation: Cu Kα
Structure: a structure optimized by DFT (GGA-PBE)

Crystal structure
abc: 10.783 10.783 10.679
angles: 90.00 90.00 148.86
Sites, in units of the cell vectors:
1 Pm 0.093 0.907 0.500
2 Pm 0.907 0.093 0.000
3 Pr 0.020 0.980 0.210
4 Pr 0.114 0.886 0.928
5 Pr 0.207 0.793 0.249
6 Pr 0.224 0.776 0.638
7 Pr 0.485 0.515 0.933
8 Pr 0.515 0.485 0.433
9 Pr 0.776 0.224 0.138
10 Pr 0.793 0.207 0.749
11 Pr 0.886 0.114 0.428
12 Pr 0.980 0.020 0.710
13 Sm 0.384 0.616 0.637
14 Sm 0.385 0.615 0.220
15 Sm 0.615 0.385 0.720
16 Sm 0.616 0.384 0.137
17 Th 0.302 0.698 0.941
18 Th 0.698 0.302 0.441

Principal peaks in the range 10° ≤ 2θ ≤ 80°, in order of rising 2θ:
two_theta, I (rel.)
27.1, 19
29.8, 42
30.9, 40
31.4, 100
33.6, 12
35.0, 8
41.5, 12
46.3, 10
50.2, 13
55.2, 22
57.5, 12
60.1, 14

Record 10
Theoretical powder XRD pattern
Compound: Ca2Al2SbRh5
Radiation: Cu Kα
Structure: a structure optimized by DFT (GGA-PBE)

Crystal structure
abc: 10.119 10.119 3.389
angles: 90.00 90.00 90.00
Sites, in units of the cell vectors:
1 Ca 0.174 0.326 0.000
2 Ca 0.326 0.826 0.000
3 Ca 0.674 0.174 0.000
4 Ca 0.826 0.674 0.000
5 Al 0.123 0.623 0.000
6 Al 0.377 0.123 0.000
7 Al 0.623 0.877 0.000
8 Al 0.877 0.377 0.000
9 Sb 0.000 0.000 0.000
10 Sb 0.500 0.500 0.000
11 Rh 0.000 0.500 0.500
12 Rh 0.067 0.795 0.500
13 Rh 0.205 0.067 0.500
14 Rh 0.295 0.567 0.500
15 Rh 0.433 0.295 0.500
16 Rh 0.500 0.000 0.500
17 Rh 0.567 0.705 0.500
18 Rh 0.705 0.433 0.500
19 Rh 0.795 0.933 0.500
20 Rh 0.933 0.205 0.500

Principal peaks in the range 10° ≤ 2θ ≤ 80°, in order of rising 2θ:
two_theta, I (rel.)
17.5, 21
26.3, 15
33.0, 15
36.6, 68
38.7, 100
39.8, 27
41.8, 31
45.7, 21
54.1, 16
65.2, 14
67.1, 13
71.6, 23